No. 1
Structure and computed X-ray powder pattern of Pa2VCoN5 (a crystal structure in Alexandria, relaxed with PBE; Cu Kα).
Intensities are scaled so that the largest is 100.

a = 6.5517 Å, b = 6.5517 Å, c = 9.8974 Å
α = 90.00°, β = 90.00°, γ = 151.29°
Atoms (fractional coordinates):
Pa  0.1056  0.8944  0.5000
Pa  0.1458  0.8542  0.1292
Pa  0.8542  0.1458  0.6292
Pa  0.8944  0.1056  0.0000
V  0.1947  0.8053  0.8324
V  0.8053  0.1947  0.3324
Co  0.4663  0.5337  0.2711
Co  0.5337  0.4663  0.7711
N  0.0562  0.9438  0.8823
N  0.2819  0.7181  0.4781
N  0.3218  0.6782  0.1953
N  0.3673  0.6327  0.8168
N  0.4884  0.5116  0.5883
N  0.5116  0.4884  0.0883
N  0.6327  0.3673  0.3168
N  0.6782  0.3218  0.6953
N  0.7181  0.2819  0.9781
N  0.9438  0.0562  0.3823

Most intense lines, 2θ = 5–70°, sorted by position:
2θ = 17.9°, 4.949 Å, I = 37.1
2θ = 28.1°, 3.174 Å, I = 36.4
2θ = 28.4°, 3.147 Å, I = 39.9
2θ = 30.5°, 2.927 Å, I = 100.0
2θ = 33.5°, 2.671 Å, I = 34.1
2θ = 33.7°, 2.656 Å, I = 52.0
2θ = 34.8°, 2.577 Å, I = 51.1
2θ = 39.6°, 2.277 Å, I = 70.8

---

No. 2
Structure and computed X-ray powder pattern of Pa2ZnCoN5 (a crystal structure in Alexandria, relaxed with PBE; Cu Kα).
Intensities are scaled so that the largest is 100.

a = 7.3882 Å, b = 7.3882 Å, c = 8.6516 Å
α = 90.00°, β = 90.00°, γ = 154.05°
Atoms (fractional coordinates):
Pa  0.1254  0.8746  0.5000
Pa  0.1338  0.8662  0.0497
Pa  0.8662  0.1338  0.5497
Pa  0.8746  0.1254  0.0000
Zn  0.4787  0.5213  0.2730
Zn  0.5213  0.4787  0.7730
Co  0.2302  0.7698  0.7720
Co  0.7698  0.2302  0.2720
N  0.0956  0.9044  0.7820
N  0.2775  0.7225  0.4122
N  0.2851  0.7149  0.1304
N  0.3706  0.6294  0.7510
N  0.4894  0.5106  0.0208
N  0.5106  0.4894  0.5208
N  0.6294  0.3706  0.2510
N  0.7149  0.2851  0.6304
N  0.7225  0.2775  0.9122
N  0.9044  0.0956  0.2820

Most intense lines, 2θ = 5–70°, sorted by position:
2θ = 20.5°, 4.326 Å, I = 48.8
2θ = 24.7°, 3.600 Å, I = 39.4
2θ = 27.6°, 3.233 Å, I = 30.9
2θ = 32.4°, 2.767 Å, I = 100.0
2θ = 32.8°, 2.729 Å, I = 69.4
2θ = 34.6°, 2.590 Å, I = 77.9
2θ = 39.0°, 2.309 Å, I = 40.2
2θ = 56.8°, 1.621 Å, I = 33.4

---

No. 3
Structure and computed X-ray powder pattern of PmCoN3 (a crystal structure in Alexandria, relaxed with PBE; Cu Kα).
Intensities are scaled so that the largest is 100.

a = 5.7375 Å, b = 5.7375 Å, c = 7.4540 Å
α = 103.84°, β = 103.84°, γ = 39.70°
Atoms (fractional coordinates):
Pm  0.1666  0.1666  0.3073
Pm  0.8334  0.8334  0.6927
Co  0.4566  0.4566  0.3422
Co  0.5434  0.5434  0.6578
N  0.3516  0.3516  0.9488
N  0.3672  0.3672  0.5257
N  0.3909  0.3909  0.1119
N  0.6091  0.6091  0.8881
N  0.6328  0.6328  0.4743
N  0.6484  0.6484  0.0512

Most intense lines, 2θ = 5–70°, sorted by position:
2θ = 12.3°, 7.209 Å, I = 88.1
2θ = 18.3°, 4.854 Å, I = 45.9
2θ = 24.7°, 3.604 Å, I = 35.9
2θ = 26.4°, 3.380 Å, I = 95.6
2θ = 28.4°, 3.146 Å, I = 79.2
2θ = 33.4°, 2.685 Å, I = 100.0
2θ = 34.4°, 2.605 Å, I = 50.6
2θ = 34.6°, 2.595 Å, I = 67.0

---

No. 4
Structure and computed X-ray powder pattern of Pu2CoTcN5 (a crystal structure in Alexandria, relaxed with PBE; Cu Kα).
Intensities are scaled so that the largest is 100.

a = 6.5157 Å, b = 6.5157 Å, c = 9.7579 Å
α = 90.00°, β = 90.00°, γ = 151.08°
Atoms (fractional coordinates):
Pu  0.1035  0.8965  0.5000
Pu  0.1499  0.8501  0.1281
Pu  0.8501  0.1499  0.6281
Pu  0.8965  0.1035  0.0000
Co  0.4736  0.5264  0.2684
Co  0.5264  0.4736  0.7684
Tc  0.2009  0.7991  0.8376
Tc  0.7991  0.2009  0.3376
N  0.0506  0.9494  0.8686
N  0.2839  0.7161  0.4717
N  0.3234  0.6766  0.1864
N  0.3710  0.6290  0.8138
N  0.4845  0.5155  0.5850
N  0.5155  0.4845  0.0850
N  0.6290  0.3710  0.3138
N  0.6766  0.3234  0.6864
N  0.7161  0.2839  0.9717
N  0.9494  0.0506  0.3686

Most intense lines, 2θ = 5–70°, sorted by position:
2θ = 28.3°, 3.152 Å, I = 69.0
2θ = 29.8°, 3.001 Å, I = 39.7
2θ = 30.9°, 2.891 Å, I = 100.0
2θ = 33.9°, 2.648 Å, I = 83.5
2θ = 34.9°, 2.574 Å, I = 60.0
2θ = 39.8°, 2.263 Å, I = 86.7
2θ = 59.4°, 1.556 Å, I = 41.1
2θ = 65.9°, 1.418 Å, I = 29.6

---

No. 5
Structure and computed X-ray powder pattern of Pu2UCoN4 (a crystal structure in Alexandria, relaxed with PBE; Cu Kα).
Intensities are scaled so that the largest is 100.

a = 5.7857 Å, b = 5.7857 Å, c = 11.4668 Å
α = 90.00°, β = 90.00°, γ = 146.47°
Atoms (fractional coordinates):
Pu  0.1317  0.8683  0.5580
Pu  0.1317  0.8683  0.9420
Pu  0.8683  0.1317  0.0580
Pu  0.8683  0.1317  0.4420
U  0.3901  0.6099  0.7500
U  0.6099  0.3901  0.2500
Co  0.3459  0.6541  0.2500
Co  0.6541  0.3459  0.7500
N  0.0420  0.9580  0.7500
N  0.2203  0.7797  0.1280
N  0.2203  0.7797  0.3720
N  0.5000  0.5000  0.0000
N  0.5000  0.5000  0.5000
N  0.7797  0.2203  0.6280
N  0.7797  0.2203  0.8720
N  0.9580  0.0420  0.2500

Most intense lines, 2θ = 5–70°, sorted by position:
2θ = 28.4°, 3.146 Å, I = 100.0
2θ = 29.0°, 3.079 Å, I = 23.5
2θ = 32.1°, 2.792 Å, I = 81.2
2θ = 32.3°, 2.770 Å, I = 52.0
2θ = 37.1°, 2.421 Å, I = 30.7
2θ = 39.6°, 2.273 Å, I = 57.3
2θ = 48.9°, 1.863 Å, I = 29.7
2θ = 55.3°, 1.663 Å, I = 31.0

---

No. 6
Structure and computed X-ray powder pattern of Co2ReSnN (a crystal structure in Alexandria, relaxed with PBE; Cu Kα).
Intensities are scaled so that the largest is 100.

a = 4.7594 Å, b = 4.7594 Å, c = 3.9077 Å
α = 90.00°, β = 90.00°, γ = 90.00°
Atoms (fractional coordinates):
Co  0.0000  0.5000  0.0000
Co  0.5000  0.0000  0.0000
Re  0.0000  0.0000  0.5000
Sn  0.5000  0.5000  0.0000
N  0.5000  0.5000  0.5000

Most intense lines, 2θ = 5–70°, sorted by position:
2θ = 26.5°, 3.365 Å, I = 29.2
2θ = 29.6°, 3.020 Å, I = 100.0
2θ = 35.2°, 2.550 Å, I = 30.1
2θ = 37.8°, 2.380 Å, I = 60.7
2θ = 46.5°, 1.954 Å, I = 16.7
2θ = 48.7°, 1.869 Å, I = 52.6
2θ = 54.5°, 1.683 Å, I = 20.7
2θ = 61.4°, 1.510 Å, I = 28.7

---

No. 7
Structure and computed X-ray powder pattern of Sm2Co17N2 (a crystal structure in Alexandria, relaxed with PBE; Cu Kα).
Intensities are scaled so that the largest is 100.

a = 6.3662 Å, b = 6.3662 Å, c = 6.4371 Å
α = 96.44°, β = 96.44°, γ = 83.57°
Atoms (fractional coordinates):
Sm  0.1547  0.1547  0.3439
Sm  0.8453  0.8453  0.6561
Co  0.0000  0.5000  0.0000
Co  0.1518  0.1518  0.8688
Co  0.1557  0.6427  0.3389
Co  0.2161  0.7839  0.0000
Co  0.2200  0.5017  0.7224
Co  0.3573  0.8443  0.6611
Co  0.4041  0.4041  0.0934
Co  0.4983  0.7800  0.2776
Co  0.5000  0.0000  0.0000
Co  0.5000  0.5000  0.5000
Co  0.5017  0.2200  0.7224
Co  0.5959  0.5959  0.9066
Co  0.6427  0.1557  0.3389
Co  0.7800  0.4983  0.2776
Co  0.7839  0.2161  0.0000
Co  0.8443  0.3573  0.6611
Co  0.8482  0.8482  0.1312
N  0.0000  0.5000  0.5000
N  0.5000  0.0000  0.5000

Most intense lines, 2θ = 5–70°, sorted by position:
2θ = 30.4°, 2.938 Å, I = 48.9
2θ = 36.6°, 2.453 Å, I = 51.3
2θ = 38.1°, 2.360 Å, I = 44.2
2θ = 42.4°, 2.132 Å, I = 100.0
2θ = 42.6°, 2.121 Å, I = 81.5
2θ = 42.9°, 2.108 Å, I = 62.7
2θ = 43.1°, 2.099 Å, I = 93.5
2θ = 44.4°, 2.041 Å, I = 63.8

---

No. 8
Structure and computed X-ray powder pattern of SrTbCoN2 (a crystal structure in Alexandria, relaxed with PBE; Cu Kα).
Intensities are scaled so that the largest is 100.

a = 5.6077 Å, b = 4.9897 Å, c = 6.7514 Å
α = 90.00°, β = 90.46°, γ = 90.00°
Atoms (fractional coordinates):
Sr  0.0000  0.0046  0.2500
Sr  0.0000  0.9954  0.7500
Tb  0.5000  0.4987  0.7500
Tb  0.5000  0.5013  0.2500
Co  0.5000  0.0000  0.0000
Co  0.5000  0.0000  0.5000
N  0.2841  0.2678  0.9993
N  0.2841  0.7322  0.4993
N  0.7159  0.2678  0.5007
N  0.7159  0.7322  0.0007

Most intense lines, 2θ = 5–70°, sorted by position:
2θ = 15.8°, 5.608 Å, I = 54.4
2θ = 23.9°, 3.728 Å, I = 72.3
2θ = 26.4°, 3.376 Å, I = 19.6
2θ = 31.9°, 2.801 Å, I = 58.0
2θ = 35.8°, 2.509 Å, I = 71.5
2θ = 36.0°, 2.495 Å, I = 100.0
2θ = 48.9°, 1.864 Å, I = 33.3
2θ = 64.7°, 1.441 Å, I = 18.0

---

No. 9
Structure and computed X-ray powder pattern of Th2CoTc2N6 (a crystal structure in Alexandria, relaxed with PBE; Cu Kα).
Intensities are scaled so that the largest is 100.

a = 6.0194 Å, b = 6.0194 Å, c = 6.0194 Å
α = 58.02°, β = 58.02°, γ = 58.02°
Atoms (fractional coordinates):
Th  0.2118  0.2118  0.2118
Th  0.7882  0.7882  0.7882
Co  0.0000  0.0000  0.0000
Tc  0.4117  0.4117  0.4117
Tc  0.5883  0.5883  0.5883
N  0.2138  0.7659  0.7659
N  0.2341  0.2341  0.7862
N  0.2341  0.7862  0.2341
N  0.7659  0.2138  0.7659
N  0.7659  0.7659  0.2138
N  0.7862  0.2341  0.2341

Most intense lines, 2θ = 5–70°, sorted by position:
2θ = 21.2°, 4.189 Å, I = 22.3
2θ = 30.6°, 2.919 Å, I = 100.0
2θ = 34.8°, 2.575 Å, I = 64.7
2θ = 35.6°, 2.519 Å, I = 12.9
2θ = 47.1°, 1.931 Å, I = 29.3
2θ = 54.4°, 1.685 Å, I = 20.0
2θ = 57.2°, 1.611 Å, I = 34.2
2θ = 63.8°, 1.460 Å, I = 15.3

---

No. 10
Structure and computed X-ray powder pattern of Th6Co2N (a crystal structure in Alexandria, relaxed with PBE; Cu Kα).
Intensities are scaled so that the largest is 100.

a = 6.3276 Å, b = 6.9722 Å, c = 11.7144 Å
α = 90.00°, β = 121.49°, γ = 90.00°
Atoms (fractional coordinates):
Th  0.0833  0.0497  0.2398
Th  0.0833  0.4503  0.7398
Th  0.2314  0.6806  0.0690
Th  0.2314  0.8194  0.5690
Th  0.3945  0.1723  0.0673
Th  0.3945  0.3277  0.5673
Th  0.6055  0.6723  0.4327
Th  0.6055  0.8277  0.9327
Th  0.7686  0.1806  0.4310
Th  0.7686  0.3194  0.9310
Th  0.9167  0.5497  0.2602
Th  0.9167  0.9503  0.7602
Co  0.3333  0.1200  0.7567
Co  0.3333  0.3800  0.2567
Co  0.6667  0.6200  0.7433
Co  0.6667  0.8800  0.2433
N  0.0000  0.0000  0.0000
N  0.0000  0.5000  0.5000

Most intense lines, 2θ = 5–70°, sorted by position:
2θ = 30.1°, 2.972 Å, I = 77.4
2θ = 30.6°, 2.924 Å, I = 100.0
2θ = 31.0°, 2.881 Å, I = 68.7
2θ = 31.3°, 2.859 Å, I = 60.8
2θ = 32.5°, 2.754 Å, I = 44.3
2θ = 34.3°, 2.617 Å, I = 49.2
2θ = 54.6°, 1.680 Å, I = 47.7
2θ = 59.9°, 1.544 Å, I = 45.1

---

No. 11
Structure and computed X-ray powder pattern of ThCoN2 (a crystal structure in Alexandria, relaxed with PBE; Cu Kα).
Intensities are scaled so that the largest is 100.

a = 5.2251 Å, b = 5.2251 Å, c = 6.9540 Å
α = 90.00°, β = 90.00°, γ = 120.00°
Atoms (fractional coordinates):
Th  0.0000  0.6498  0.1667
Th  0.3502  0.3502  0.5000
Th  0.6498  0.0000  0.8333
Co  0.0000  0.6133  0.6667
Co  0.3867  0.3867  0.0000
Co  0.6133  0.0000  0.3333
N  0.1147  0.4804  0.8868
N  0.3656  0.8853  0.5535
N  0.4804  0.1147  0.1132
N  0.5196  0.6344  0.2202
N  0.6344  0.5196  0.7798
N  0.8853  0.3656  0.4465

Most intense lines, 2θ = 5–70°, sorted by position:
2θ = 23.5°, 3.793 Å, I = 69.9
2θ = 32.5°, 2.757 Å, I = 100.0
2θ = 34.3°, 2.613 Å, I = 82.9
2θ = 42.0°, 2.152 Å, I = 24.0
2θ = 48.0°, 1.896 Å, I = 39.4
2θ = 52.8°, 1.734 Å, I = 18.9
2θ = 56.7°, 1.623 Å, I = 22.7
2θ = 60.3°, 1.535 Å, I = 34.5

---

No. 12
Structure and computed X-ray powder pattern of Ti7Co3N10 (a crystal structure in Alexandria, relaxed with PBE; Cu Kα).
Intensities are scaled so that the largest is 100.

a = 7.9507 Å, b = 7.9507 Å, c = 7.9507 Å
α = 140.77°, β = 54.62°, γ = 143.56°
Atoms (fractional coordinates):
Ti  0.0000  0.0000  0.0000
Ti  0.1914  0.4922  0.6993
Ti  0.3895  0.9883  0.4012
Ti  0.4030  0.5045  0.8985
Ti  0.5870  0.9883  0.5988
Ti  0.6060  0.5045  0.1015
Ti  0.7929  0.4922  0.3007
Co  0.1968  0.9937  0.2031
Co  0.7905  0.9937  0.7969
Co  0.9357  0.4357  0.5000
N  0.1288  0.0765  0.5482
N  0.1288  0.5806  0.0523
N  0.3484  0.1106  0.7622
N  0.3484  0.5862  0.2378
N  0.5283  0.0765  0.9477
N  0.5283  0.5806  0.4518
N  0.7280  0.0812  0.1568
N  0.7280  0.5711  0.6468
N  0.9244  0.0812  0.3532
N  0.9244  0.5711  0.8432

Most intense lines, 2θ = 5–70°, sorted by position:
2θ = 27.6°, 3.235 Å, I = 3.1
2θ = 33.6°, 2.669 Å, I = 36.7
2θ = 36.1°, 2.486 Å, I = 44.5
2θ = 36.6°, 2.457 Å, I = 81.0
2θ = 50.1°, 1.819 Å, I = 46.3
2θ = 50.5°, 1.808 Å, I = 100.0
2θ = 65.3°, 1.430 Å, I = 21.4
2θ = 66.1°, 1.413 Å, I = 11.5